Entry 1:
Structure and computed powder diffraction line list of Fe2H2I7 (the GGA-PBE geometry in Alexandria; CuKα).
Lines closer than 0.1° are merged.

Most intense lines, 2θ from 10° to 90°, in order of falling intensity:
d/Å  2θ (°)  intensity
3.733  23.84  100.0
3.361  26.52  72.5
2.756  32.49  70.8
5.034  17.62  70.3
2.235  40.36  62.6
3.239  27.54  51.2
7.186  12.32  40.6
2.283  39.46  38.7

Structural model:
```
Fe2H2I7
1.0
4.373 -6.850 0.000
4.373 6.850 0.000
-2.015 0.000 7.422
Fe H I
2 2 7
direct
0.167 0.167 0.375
0.833 0.833 0.625
0.164 0.836 0.000
0.836 0.164 0.000
0.019 0.351 0.202
0.160 0.160 0.717
0.351 0.019 0.202
0.500 0.500 0.500
0.649 0.981 0.798
0.840 0.840 0.283
0.981 0.649 0.798
```

=====

Entry 2:
Structure and computed powder diffraction line list of Fe2HI8 (the GGA-PBE geometry in Alexandria; CuKα).
Lines closer than 0.1° are merged.

Most intense lines, 2θ from 10° to 90°, in order of falling intensity:
d/Å  2θ (°)  intensity
3.946  22.54  100.0
3.490  25.52  73.9
3.858  23.05  44.0
3.095  28.85  36.3
3.828  23.24  36.0
2.196  41.11  32.4
6.106  14.51  31.6
3.699  24.06  29.1

Structural model:
```
Fe2HI8
1.0
6.199 -6.106 0.000
6.199 6.106 0.000
-1.578 0.000 6.983
Fe H I
2 1 8
direct
0.216 0.216 0.156
0.784 0.784 0.844
0.825 0.175 0.000
0.027 0.698 0.716
0.215 0.203 0.807
0.302 0.973 0.284
0.398 0.446 0.287
0.554 0.602 0.713
0.711 0.065 0.766
0.797 0.785 0.193
0.935 0.289 0.234
```

=====

Entry 3:
Structure and computed powder diffraction line list of In3FeH (the GGA-PBE geometry in Alexandria; CuKα).
Lines closer than 0.1° are merged.

Most intense lines, 2θ from 10° to 90°, in order of falling intensity:
d/Å  2θ (°)  intensity
4.985  17.79  100.0
2.878  31.07  94.5
2.493  36.03  93.7
1.763  51.87  63.5
2.230  40.46  48.5
1.503  61.71  38.2
1.115  87.51  27.8
1.662  55.28  23.4

Structural model:
```
In3FeH
1.0
4.985 0.000 0.000
0.000 4.985 0.000
0.000 0.000 4.985
In Fe H
3 1 1
direct
0.000 0.000 0.500
0.000 0.500 0.000
0.500 0.000 0.000
0.000 0.000 0.000
0.500 0.500 0.500
```

=====

Entry 4:
Structure and computed powder diffraction line list of Fe4H3Ir (the GGA-PBE geometry in Alexandria; CuKα).
Lines closer than 0.1° are merged.

Most intense lines, 2θ from 10° to 90°, in order of falling intensity:
d/Å  2θ (°)  intensity
2.035  44.52  100.0
2.044  44.32  50.7
2.176  41.50  40.2
2.309  39.01  26.0
3.728  23.87  23.5
4.228  21.01  21.4
3.183  28.03  21.3
1.226  77.89  17.8

Structural model:
```
Fe4H3Ir
1.0
4.559 -2.301 0.000
4.559 2.301 0.000
-2.570 0.000 6.372
Fe H Ir
8 6 2
direct
0.033 0.365 0.395
0.163 0.837 0.500
0.365 0.033 0.895
0.426 0.772 0.200
0.636 0.971 0.597
0.772 0.426 0.700
0.837 0.163 0.000
0.971 0.636 0.097
0.189 0.196 0.143
0.196 0.189 0.643
0.596 0.607 0.457
0.607 0.596 0.957
0.790 0.811 0.845
0.811 0.790 0.345
0.237 0.568 0.796
0.568 0.237 0.296
```

=====

Entry 5:
Structure and computed powder diffraction line list of MnFeHIrPd (the GGA-PBE geometry in Alexandria; CuKα).
Lines closer than 0.1° are merged.

Most intense lines, 2θ from 10° to 90°, in order of falling intensity:
d/Å  2θ (°)  intensity
2.186  41.30  100.0
2.223  40.59  98.6
1.927  47.17  64.1
5.521  16.05  50.8
1.343  70.04  38.0
3.101  28.79  36.0
1.874  48.59  31.3
1.151  84.10  23.1

Structural model:
```
MnFeHIrPd
1.0
2.691 0.000 0.000
0.000 3.748 0.000
0.000 0.000 5.521
Mn Fe H Ir Pd
1 1 1 1 1
direct
0.000 0.000 0.000
0.500 0.500 0.263
0.500 0.000 0.217
0.500 0.500 0.802
0.000 0.000 0.518
```

=====

Entry 6:
Structure and computed powder diffraction line list of MnFeHIrPd (the GGA-PBE geometry in Alexandria; CuKα).
Lines closer than 0.1° are merged.

Most intense lines, 2θ from 10° to 90°, in order of falling intensity:
d/Å  2θ (°)  intensity
2.252  40.04  100.0
1.962  46.29  43.8
2.215  40.74  29.6
4.581  19.38  22.1
1.904  47.76  19.0
3.561  25.01  14.7
1.375  68.18  13.4
2.665  33.63  13.2

Structural model:
```
MnFeHIrPd
1.0
4.589 -1.395 0.000
4.589 1.395 0.000
-0.865 0.000 4.581
Mn Fe H Ir Pd
1 1 1 1 1
direct
0.000 0.000 0.000
0.255 0.255 0.695
0.631 0.631 0.833
0.504 0.504 0.498
0.755 0.755 0.211
```

=====

Entry 7:
Structure and computed powder diffraction line list of MnFeHIrPd (the GGA-PBE geometry in Alexandria; CuKα).
Lines closer than 0.1° are merged.

Most intense lines, 2θ from 10° to 90°, in order of falling intensity:
d/Å  2θ (°)  intensity
2.239  40.28  100.0
2.086  43.38  87.3
2.256  39.96  50.2
2.215  40.74  48.1
2.950  30.30  46.7
3.432  25.96  27.2
4.513  19.67  16.9
1.477  62.93  16.0

Structural model:
```
MnFeHIrPd
1.0
4.481 0.000 0.000
0.000 2.954 0.000
-0.691 0.000 4.513
Mn Fe H Ir Pd
1 1 1 1 1
direct
0.000 0.000 0.000
0.455 0.000 0.469
0.392 0.000 0.101
0.962 0.500 0.499
0.519 0.500 0.936
```